Simulated powder diffractogram of Y5P4Se for CuKα, from DFT lattice parameters and positions (PBE).
Lines closer than 0.1° are merged.

Largest 12 diffraction maxima, by angle, 2θ from 10° to 90°:
2theta	Rel. int.
27.10	28
31.40	100
44.90	11
45.02	59
53.28	6
53.36	6
55.82	12
55.96	12
65.52	11
74.48	20
82.89	7
83.12	11

Cell and atoms:
Cell: 10.6796 10.6796 10.6796 Å, 158.28 149.07 38.11°
Sites, in units of the cell vectors:
Y (0.0000, 0.0000, 0.0000)
Y (0.1992, 0.1992, 0.0000)
Y (0.3925, 0.3925, 0.0000)
Y (0.6075, 0.6075, 0.0000)
Y (0.8008, 0.8008, 0.0000)
P (0.0990, 0.5990, 0.5000)
P (0.2988, 0.7988, 0.5000)
P (0.7012, 0.2012, 0.5000)
P (0.9010, 0.4010, 0.5000)
Se (0.5000, 0.0000, 0.5000)